Structure and simulated powder X-ray diffraction pattern of Tl12Ga (a cell relaxed with GGA-PBE; a wavelength of 1.5418 Å).

Peak list (10 most intense, 2θ = 5–70°, sorted by position)
- 2θ = 27.2°, I = 23
- 2θ = 30.5°, I = 100
- 2θ = 33.5°, I = 31
- 2θ = 36.3°, I = 72
- 2θ = 43.7°, I = 8
- 2θ = 50.2°, I = 8
- 2θ = 58.0°, I = 46
- 2θ = 59.9°, I = 13
- 2θ = 61.7°, I = 34
- 2θ = 68.7°, I = 13

Structural model:
```
Tl12Ga
1.0
-4.633 4.633 4.633
4.633 -4.633 4.633
4.633 4.633 -4.633
Tl Ga
12 1
Cartesian
4.633 -1.761 2.952
2.873 1.682 0.000
6.394 1.682 0.000
2.952 4.633 -1.761
1.682 0.000 2.873
0.000 2.873 1.682
4.633 1.761 2.952
2.952 4.633 1.761
1.682 0.000 6.394
-1.761 2.952 4.633
1.761 2.952 4.633
0.000 6.394 1.682
0.000 0.000 0.000
```